1.
Er3Tl3InS8: calculated powder diffractogram (Cu Kα (λ = 1.5418 Å)), based on the PBE geometry in Alexandria.
Neutral-atom scattering factors, no anomalous dispersion.

Crystal structure
```
data_Er3Tl3InS8
_space_group_name_H-M_alt 'R -3 m'
_space_group_IT_number 166
_space_group_name_Hall '-R 3 2"'
_cell_length_a 7.9249
_cell_length_b 7.9249
_cell_length_c 22.0371
_cell_angle_alpha 90.00
_cell_angle_beta 90.00
_cell_angle_gamma 120.00
loop_
_atom_site_label
_atom_site_fract_x
_atom_site_fract_y
_atom_site_fract_z
Er1 0.0000 0.5000 0.0000
Tl1 0.0000 0.5000 0.5000
In1 0.0000 0.0000 0.0000
S1 0.0000 0.0000 0.2663
S2 0.0053 0.5027 0.7328
```

The 8 most intense peaks (10 to 90 degrees two-theta), in order of rising 2θ:
24.23°, I 27, (0 0 6); 27.22°, I 56, (2 0 2); 30.69°, I 100, (0 2 4); 42.06°, I 38, (2 0 8); 45.80°, I 34, (2 2 0); 52.48°, I 22, (2 2 6); 56.15°, I 18, (4 0 4); 69.84°, I 15, (2 2 12)

=====

2.
ScCoPd: calculated powder diffractogram (Cu Kα (λ = 1.5418 Å)), based on the PBE geometry in Alexandria.
Neutral-atom scattering factors, no anomalous dispersion.

Crystal structure
```
data_ScCoPd
_space_group_name_H-M_alt 'I m a 2'
_space_group_IT_number 46
_cell_length_a 4.743
_cell_length_b 6.268
_cell_length_c 6.267
_cell_angle_alpha 90.00
_cell_angle_beta 90.00
_cell_angle_gamma 90.00
loop_
_space_group_symop_operation_xyz
'x,y,z'
'-x,-y,z'
'-x+1/2,y,z'
'x+1/2,-y,z'
'x+1/2,y+1/2,z+1/2'
'-x+1/2,-y+1/2,z+1/2'
'-x,y+1/2,z+1/2'
'x,-y+1/2,z+1/2'
loop_
_atom_site_label
_atom_site_fract_x
_atom_site_fract_y
_atom_site_fract_z
Sc1 0.250 0.170 0.000
Co1 0.000 0.000 0.663
Pd1 0.250 0.655 0.811
```

The 8 most intense peaks (10 to 90 degrees two-theta), in order of rising 2θ:
23.52°, I 14, (1 1 0); 37.26°, I 100, (1 1 2); 43.27°, I 29, (2 1 1); 45.78°, I 42, (0 3 1); 48.12°, I 26, (2 0 2); 68.09°, I 16, (3 2 1); 72.27°, I 13, (2 0 4); 75.88°, I 17, (2 3 3)

=====

3.
TbPr3Pt2: calculated powder diffractogram (Cu Kα (λ = 1.5418 Å)), based on the PBE geometry in Alexandria.
Neutral-atom scattering factors, no anomalous dispersion.

Crystal structure
```
data_TbPr3Pt2
_space_group_name_H-M_alt 'P -1'
_space_group_IT_number 2
_cell_length_a 4.725
_cell_length_b 4.756
_cell_length_c 8.243
_cell_angle_alpha 106.71
_cell_angle_beta 106.58
_cell_angle_gamma 90.05
loop_
_space_group_symop_operation_xyz
'x,y,z'
'-x,-y,-z'
loop_
_atom_site_label
_atom_site_fract_x
_atom_site_fract_y
_atom_site_fract_z
Tb1 0.000 0.000 0.000
Pr1 0.187 0.687 0.374
Pr2 0.500 0.500 0.000
Pt1 0.374 0.875 0.748
```

The 8 most intense peaks (10 to 90 degrees two-theta), in order of rising 2θ:
26.59°, I 33, (1 1 -1); 29.16°, I 100, (1 1 -2); 35.29°, I 65, (1 0 2); 35.82°, I 70, (1 -1 2); 35.87°, I 54, (1 1 -3); 37.83°, I 46, (0 2 -1); 38.09°, I 45, (2 0 -1); 54.77°, I 32, (2 2 -2)

=====

4.
Ti3Fe5P4: calculated powder diffractogram (Cu Kα (λ = 1.5418 Å)), based on the PBE geometry in Alexandria.
Neutral-atom scattering factors, no anomalous dispersion.

Crystal structure
```
data_Ti3Fe5P4
_space_group_name_H-M_alt 'P 1 m 1'
_space_group_IT_number 6
_cell_length_a 5.924
_cell_length_b 3.579
_cell_length_c 6.704
_cell_angle_alpha 90.00
_cell_angle_beta 90.80
_cell_angle_gamma 90.00
loop_
_space_group_symop_operation_xyz
'x,y,z'
'x,-y,z'
loop_
_atom_site_label
_atom_site_fract_x
_atom_site_fract_y
_atom_site_fract_z
Ti1 0.000 0.000 0.000
Ti2 0.046 0.500 0.639
Ti3 0.541 0.500 0.488
Fe1 0.163 0.500 0.255
Fe2 0.374 0.000 0.758
Fe3 0.484 0.000 0.142
Fe4 0.663 0.500 0.879
Fe5 0.868 0.000 0.375
P1 0.246 0.000 0.429
P2 0.304 0.500 0.950
P3 0.747 0.000 0.695
P4 0.784 0.500 0.191
```

The 8 most intense peaks (10 to 90 degrees two-theta), in order of rising 2θ:
39.50°, I 90, (2 1 0); 39.72°, I 98, (1 1 -2); 40.02°, I 100, (1 1 2); 41.68°, I 81, (2 1 -1); 41.96°, I 90, (2 1 1); 47.85°, I 41, (3 0 -1); 48.00°, I 94, (0 1 3); 51.04°, I 95, (0 2 0)

=====

5.
TbAlPd: calculated powder diffractogram (Cu Kα (λ = 1.5418 Å)), based on the PBE geometry in Alexandria.
Neutral-atom scattering factors, no anomalous dispersion.

Crystal structure
```
data_TbAlPd
_space_group_name_H-M_alt 'P -6 2 m'
_space_group_IT_number 189
_space_group_name_Hall 'P -6 -2'
_cell_length_a 7.1462
_cell_length_b 7.1462
_cell_length_c 4.1103
_cell_angle_alpha 90.00
_cell_angle_beta 90.00
_cell_angle_gamma 120.00
loop_
_atom_site_label
_atom_site_fract_x
_atom_site_fract_y
_atom_site_fract_z
Tb1 0.0000 0.5831 0.0000
Al1 0.0000 0.2361 0.5000
Pd1 0.0000 0.0000 0.0000
Pd2 0.3333 0.6667 0.5000
```

The 8 most intense peaks (10 to 90 degrees two-theta), in order of rising 2θ:
24.92°, I 30, (1 1 0); 28.85°, I 25, (2 0 0); 33.22°, I 80, (1 1 1); 36.34°, I 100, (2 0 1); 38.49°, I 23, (2 1 0); 43.89°, I 23, (3 0 0); 44.06°, I 24, (0 0 2); 58.25°, I 24, (3 1 1)

=====

6.
Ta2FeHW: calculated powder diffractogram (Cu Kα (λ = 1.5418 Å)), based on the PBE geometry in Alexandria.
Neutral-atom scattering factors, no anomalous dispersion.

Crystal structure
```
data_Ta2FeHW
_space_group_name_H-M_alt 'P 4/m m m'
_space_group_IT_number 123
_space_group_name_Hall '-P 4 2'
_cell_length_a 4.450
_cell_length_b 4.450
_cell_length_c 3.310
_cell_angle_alpha 90.00
_cell_angle_beta 90.00
_cell_angle_gamma 90.00
loop_
_atom_site_label
_atom_site_fract_x
_atom_site_fract_y
_atom_site_fract_z
Ta1 0.000 0.500 0.000
Fe1 0.000 0.000 0.500
H1 0.000 0.000 0.000
W1 0.500 0.500 0.500
```

The 8 most intense peaks (10 to 90 degrees two-theta), in order of rising 2θ:
19.95°, I 11, (1 0 0); 39.51°, I 100, (1 1 1); 40.54°, I 47, (2 0 0); 55.52°, I 9, (0 0 2); 58.68°, I 16, (2 2 0); 70.98°, I 18, (2 0 2); 73.07°, I 33, (3 1 1); 85.07°, I 11, (2 2 2)

=====

7.
MgSi2As: calculated powder diffractogram (Cu Kα (λ = 1.5418 Å)), based on the PBE geometry in Alexandria.
Neutral-atom scattering factors, no anomalous dispersion.

Crystal structure
```
data_MgSi2As
_space_group_name_H-M_alt 'F m m m'
_space_group_IT_number 69
_space_group_name_Hall '-F 2 2'
_cell_length_a 5.297
_cell_length_b 5.418
_cell_length_c 9.838
_cell_angle_alpha 90.00
_cell_angle_beta 90.00
_cell_angle_gamma 90.00
loop_
_atom_site_label
_atom_site_fract_x
_atom_site_fract_y
_atom_site_fract_z
Mg1 0.000 0.000 0.000
Si1 0.000 0.250 0.250
As1 0.000 0.000 0.500
```

The 8 most intense peaks (10 to 90 degrees two-theta), in order of rising 2θ:
25.19°, I 61, (1 1 1); 33.84°, I 69, (2 0 0); 36.23°, I 24, (1 1 3); 36.53°, I 56, (0 0 4); 37.92°, I 100, (0 2 2); 50.65°, I 42, (2 0 4); 51.72°, I 79, (2 2 2); 76.91°, I 24, (2 2 6)

=====

8.
Pr2ErTc2N6: calculated powder diffractogram (Cu Kα (λ = 1.5418 Å)), based on the PBE geometry in Alexandria.
Neutral-atom scattering factors, no anomalous dispersion.

Crystal structure
```
data_Pr2ErTc2N6
_space_group_name_H-M_alt 'R -3 m'
_space_group_IT_number 166
_space_group_name_Hall '-R 3 2"'
_cell_length_a 5.7631
_cell_length_b 5.7631
_cell_length_c 17.8568
_cell_angle_alpha 90.00
_cell_angle_beta 90.00
_cell_angle_gamma 120.00
loop_
_atom_site_label
_atom_site_fract_x
_atom_site_fract_y
_atom_site_fract_z
Pr1 0.0000 0.0000 0.2090
Er1 0.0000 0.0000 0.0000
Tc1 0.0000 0.0000 0.3992
N1 0.0106 0.5053 0.7627
```

The 8 most intense peaks (10 to 90 degrees two-theta), in order of rising 2θ:
30.79°, I 100, (0 1 5); 31.04°, I 97, (1 1 0); 44.28°, I 42, (2 0 5); 54.58°, I 20, (1 0 10); 55.06°, I 40, (1 2 5); 55.21°, I 20, (3 0 0); 72.95°, I 16, (2 1 10); 73.35°, I 16, (3 1 5)